Structure and computed powder XRD pattern of Ba4U3AgO12 (a structure optimized by DFT (GGA-PBE); a wavelength of 1.5418 Å).
Intensities are scaled so that the largest is 100.

Most intense lines, 2θ = 5–70°, sorted by position:
- 14.1°, d 6.277, I = 5
- 20.0°, d 4.438, I = 8
- 24.6°, d 3.624, I = 3
- 28.4°, d 3.138, I = 100
- 37.9°, d 2.372, I = 1
- 40.7°, d 2.219, I = 28
- 45.7°, d 1.985, I = 4
- 50.4°, d 1.812, I = 42
- 52.6°, d 1.741, I = 1
- 58.9°, d 1.569, I = 18
- 62.8°, d 1.479, I = 2
- 66.6°, d 1.404, I = 19

Structural model:
a = 7.687 Å, b = 7.687 Å, c = 7.687 Å
α = 109.47°, β = 109.47°, γ = 109.47°
Fractional coordinates of all 20 atoms:
Ba  0.000  0.000  0.500
Ba  0.000  0.500  0.000
Ba  0.500  0.000  0.000
Ba  0.500  0.500  0.500
U  0.000  0.500  0.500
U  0.500  0.000  0.500
U  0.500  0.500  0.000
Ag  0.000  0.000  0.000
O  0.000  0.273  0.273
O  0.000  0.727  0.727
O  0.250  0.500  0.750
O  0.250  0.750  0.500
O  0.273  0.000  0.273
O  0.273  0.273  0.000
O  0.500  0.250  0.750
O  0.500  0.750  0.250
O  0.727  0.000  0.727
O  0.727  0.727  0.000
O  0.750  0.250  0.500
O  0.750  0.500  0.250